Calculated PXRD pattern of Cs2Tb6Te7N2 for λ = 1.5418 Å (Cu Kα), from a DFT-relaxed cell (PBE, the Materials Project).

Largest 8 diffraction maxima, by intensity, 10 to 90 degrees two-theta:
d_spacing  2θ (°)  Rel. int.
3.413  26.11  100
2.908  30.75  74
2.946  30.34  65
2.108  42.91  57
3.647  24.41  52
3.143  28.40  52
2.833  31.58  45
2.275  39.61  42

Unit cell a=12.313 b=12.313 c=11.517 alpha=103.45 beta=103.45 gamma=19.71
Sites, in units of the cell vectors:
Cs  0.064  0.064  0.198
Cs  0.936  0.936  0.802
Tb  0.165  0.165  0.890
Tb  0.216  0.216  0.628
Tb  0.410  0.410  0.360
Tb  0.590  0.590  0.640
Tb  0.784  0.784  0.372
Tb  0.835  0.835  0.110
Te  0.000  0.000  0.500
Te  0.241  0.241  0.161
Te  0.337  0.337  0.556
Te  0.424  0.424  0.093
Te  0.576  0.576  0.907
Te  0.663  0.663  0.444
Te  0.759  0.759  0.839
N  0.137  0.137  0.697
N  0.863  0.863  0.303

=====

Calculated PXRD pattern of LuCo2Sn for λ = 1.5418 Å (Cu Kα), from a DFT-relaxed cell (PBE, the Materials Project).

Largest 8 diffraction maxima, by intensity, 10 to 90 degrees two-theta:
d_spacing  2θ (°)  Rel. int.
2.245  40.17  100
1.296  72.99  34
3.175  28.10  21
1.587  58.11  17
1.123  86.75  11
1.420  65.77  9
1.833  49.74  6
3.666  24.28  4

Unit cell a=6.350 b=6.350 c=6.350 alpha=90.00 beta=90.00 gamma=90.00
Sites, in units of the cell vectors:
Lu  0.000  0.000  0.000
Lu  0.000  0.500  0.500
Lu  0.500  0.000  0.500
Lu  0.500  0.500  0.000
Co  0.250  0.250  0.250
Co  0.250  0.250  0.750
Co  0.250  0.750  0.250
Co  0.250  0.750  0.750
Co  0.750  0.250  0.250
Co  0.750  0.250  0.750
Co  0.750  0.750  0.250
Co  0.750  0.750  0.750
Sn  0.000  0.000  0.500
Sn  0.000  0.500  0.000
Sn  0.500  0.000  0.000
Sn  0.500  0.500  0.500